# 1
# Hf9GeMo4
Calculated powder diffractogram, Cu Kα, 1.54184 Å. Input: a crystal structure in OQMD, relaxed with PBE.

Largest 10 diffraction maxima, sorted by position, 2θ = 10–90°:
| d_spacing | 2θ (°) | I (rel.) |
| --- | --- | --- |
| 2.840 | 31.50 | 59 |
| 2.707 | 33.09 | 21 |
| 2.403 | 37.42 | 52 |
| 2.376 | 37.87 | 100 |
| 2.295 | 39.25 | 38 |
| 2.177 | 41.48 | 20 |
| 2.165 | 41.71 | 29 |
| 1.480 | 62.78 | 28 |
| 1.429 | 65.29 | 26 |
| 1.418 | 65.84 | 27 |

Cell and atoms:
Cell: 8.662 8.662 8.707 Å, 90.00 90.00 120.00°
Atoms (fractional coordinates):
Hf (0.077, 0.539, 0.250)
Hf (0.197, 0.394, 0.543)
Hf (0.197, 0.394, 0.957)
Hf (0.197, 0.803, 0.543)
Hf (0.197, 0.803, 0.957)
Hf (0.394, 0.197, 0.043)
Hf (0.394, 0.197, 0.457)
Hf (0.461, 0.539, 0.250)
Hf (0.461, 0.923, 0.250)
Hf (0.539, 0.077, 0.750)
Hf (0.539, 0.461, 0.750)
Hf (0.606, 0.803, 0.543)
Hf (0.606, 0.803, 0.957)
Hf (0.803, 0.197, 0.043)
Hf (0.803, 0.197, 0.457)
Hf (0.803, 0.606, 0.043)
Hf (0.803, 0.606, 0.457)
Hf (0.923, 0.461, 0.750)
Ge (0.333, 0.667, 0.750)
Ge (0.667, 0.333, 0.250)
Mo (0.000, 0.000, 0.000)
Mo (0.000, 0.000, 0.500)
Mo (0.110, 0.220, 0.250)
Mo (0.110, 0.890, 0.250)
Mo (0.220, 0.110, 0.750)
Mo (0.780, 0.890, 0.250)
Mo (0.890, 0.110, 0.750)
Mo (0.890, 0.780, 0.750)

=====

# 2
# HfNbNi2Ge4
Calculated powder diffractogram, Cu Kα, 1.54184 Å. Input: a crystal structure in OQMD, relaxed with PBE.

Largest 10 diffraction maxima, sorted by position, 2θ = 10–90°:
| d_spacing | 2θ (°) | I (rel.) |
| --- | --- | --- |
| 3.461 | 25.74 | 15 |
| 2.867 | 31.20 | 17 |
| 2.323 | 38.77 | 19 |
| 2.279 | 39.53 | 100 |
| 2.215 | 40.73 | 13 |
| 1.880 | 48.43 | 35 |
| 1.603 | 57.49 | 12 |
| 1.433 | 65.08 | 12 |
| 1.329 | 70.90 | 11 |
| 1.148 | 84.35 | 21 |

Cell and atoms:
Cell: 3.759 3.759 8.861 Å, 90.00 90.00 90.00°
Atoms (fractional coordinates):
Hf (0.000, 0.000, 0.000)
Nb (0.500, 0.500, 0.523)
Ni (0.000, 0.500, 0.261)
Ni (0.500, 0.000, 0.261)
Ge (0.000, 0.000, 0.431)
Ge (0.000, 0.500, 0.756)
Ge (0.500, 0.000, 0.756)
Ge (0.500, 0.500, 0.096)

=====

# 3
# Hf2NbTcGe2
Calculated powder diffractogram, Cu Kα, 1.54184 Å. Input: a crystal structure in OQMD, relaxed with PBE.

Largest 10 diffraction maxima, sorted by position, 2θ = 10–90°:
| d_spacing | 2θ (°) | I (rel.) |
| --- | --- | --- |
| 3.037 | 29.41 | 24 |
| 2.714 | 33.01 | 32 |
| 2.539 | 35.35 | 100 |
| 2.398 | 37.50 | 42 |
| 2.321 | 38.80 | 21 |
| 2.285 | 39.44 | 21 |
| 2.166 | 41.69 | 77 |
| 1.962 | 46.27 | 33 |
| 1.878 | 48.46 | 29 |
| 1.479 | 62.81 | 26 |

Cell and atoms:
Cell: 7.691 7.691 7.691 Å, 151.73 150.44 41.36°
Atoms (fractional coordinates):
Hf (0.174, 0.174, 0.000)
Hf (0.826, 0.826, 0.000)
Nb (0.000, 0.500, 0.500)
Tc (0.500, 0.000, 0.500)
Ge (0.365, 0.365, 0.000)
Ge (0.635, 0.635, 0.000)

=====

# 4
# HfSc2Si2Ni4Ge2
Calculated powder diffractogram, Cu Kα, 1.54184 Å. Input: a crystal structure in OQMD, relaxed with PBE.

Largest 10 diffraction maxima, sorted by position, 2θ = 10–90°:
| d_spacing | 2θ (°) | I (rel.) |
| --- | --- | --- |
| 5.785 | 15.32 | 63 |
| 2.875 | 31.11 | 25 |
| 2.445 | 36.75 | 100 |
| 2.381 | 37.79 | 44 |
| 2.309 | 39.00 | 92 |
| 1.946 | 46.68 | 40 |
| 1.928 | 47.13 | 26 |
| 1.890 | 48.15 | 23 |
| 1.785 | 51.17 | 38 |
| 1.507 | 61.55 | 20 |

Cell and atoms:
Cell: 7.432 7.432 7.432 Å, 149.65 128.26 61.17°
Atoms (fractional coordinates):
Hf (0.000, 0.000, 0.000)
Sc (0.375, 0.875, 0.500)
Sc (0.625, 0.125, 0.500)
Si (0.307, 0.500, 0.807)
Si (0.693, 0.500, 0.193)
Ni (0.025, 0.329, 0.696)
Ni (0.367, 0.671, 0.696)
Ni (0.633, 0.329, 0.304)
Ni (0.975, 0.671, 0.304)
Ge (0.219, 0.219, 0.000)
Ge (0.781, 0.781, 0.000)

=====

# 5
# Hf2ZrSi2Ni4Ge2
Calculated powder diffractogram, Cu Kα, 1.54184 Å. Input: a crystal structure in OQMD, relaxed with PBE.

Largest 10 diffraction maxima, sorted by position, 2θ = 10–90°:
| d_spacing | 2θ (°) | I (rel.) |
| --- | --- | --- |
| 3.727 | 23.87 | 18 |
| 3.228 | 27.64 | 20 |
| 2.440 | 36.84 | 89 |
| 2.385 | 37.71 | 39 |
| 2.312 | 38.95 | 100 |
| 2.149 | 42.05 | 40 |
| 1.948 | 46.64 | 35 |
| 1.922 | 47.29 | 21 |
| 1.624 | 56.67 | 16 |
| 1.509 | 61.47 | 19 |

Cell and atoms:
Cell: 7.442 7.442 7.442 Å, 149.66 128.60 60.86°
Atoms (fractional coordinates):
Hf (0.125, 0.125, 0.000)
Hf (0.875, 0.875, 0.000)
Zr (0.500, 0.000, 0.500)
Si (0.192, 0.500, 0.692)
Si (0.808, 0.500, 0.308)
Ni (0.129, 0.329, 0.800)
Ni (0.471, 0.671, 0.800)
Ni (0.529, 0.329, 0.200)
Ni (0.871, 0.671, 0.200)
Ge (0.285, 0.785, 0.500)
Ge (0.715, 0.215, 0.500)

=====

# 6
# HfZr2Ni4Ge4
Calculated powder diffractogram, Cu Kα, 1.54184 Å. Input: a crystal structure in OQMD, relaxed with PBE.

Largest 10 diffraction maxima, sorted by position, 2θ = 10–90°:
| d_spacing | 2θ (°) | I (rel.) |
| --- | --- | --- |
| 2.471 | 36.35 | 100 |
| 2.419 | 37.16 | 31 |
| 2.342 | 38.43 | 75 |
| 2.170 | 41.62 | 20 |
| 1.968 | 46.12 | 35 |
| 1.950 | 46.58 | 24 |
| 1.810 | 50.43 | 29 |
| 1.527 | 60.65 | 14 |
| 1.458 | 63.86 | 13 |
| 1.385 | 67.63 | 15 |

Cell and atoms:
Cell: 7.547 7.547 7.547 Å, 149.77 128.58 60.82°
Atoms (fractional coordinates):
Hf (0.000, 0.000, 0.000)
Zr (0.373, 0.873, 0.500)
Zr (0.627, 0.127, 0.500)
Ni (0.023, 0.324, 0.699)
Ni (0.376, 0.676, 0.699)
Ni (0.624, 0.324, 0.301)
Ni (0.977, 0.676, 0.301)
Ge (0.213, 0.213, 0.000)
Ge (0.300, 0.500, 0.800)
Ge (0.700, 0.500, 0.200)
Ge (0.787, 0.787, 0.000)

=====

# 7
# HfGeO3
Calculated powder diffractogram, Cu Kα, 1.54184 Å. Input: a crystal structure in OQMD, relaxed with PBE.

Largest 10 diffraction maxima, sorted by position, 2θ = 10–90°:
| d_spacing | 2θ (°) | I (rel.) |
| --- | --- | --- |
| 4.206 | 21.12 | 28 |
| 4.000 | 22.22 | 32 |
| 2.899 | 30.85 | 100 |
| 2.829 | 31.63 | 52 |
| 2.000 | 45.34 | 31 |
| 1.861 | 48.93 | 22 |
| 1.806 | 50.53 | 11 |
| 1.688 | 54.36 | 19 |
| 1.646 | 55.85 | 39 |
| 1.363 | 68.91 | 16 |

Cell and atoms:
Cell: 4.000 4.000 4.206 Å, 90.00 90.00 90.00°
Atoms (fractional coordinates):
Hf (0.000, 0.000, 0.000)
Ge (0.500, 0.500, 0.384)
O (0.000, 0.000, 0.542)
O (0.000, 0.500, 0.109)
O (0.500, 0.000, 0.109)

=====

# 8
# Hf2GeO4
Calculated powder diffractogram, Cu Kα, 1.54184 Å. Input: a crystal structure in OQMD, relaxed with PBE.

Largest 10 diffraction maxima, sorted by position, 2θ = 10–90°:
| d_spacing | 2θ (°) | I (rel.) |
| --- | --- | --- |
| 5.355 | 16.55 | 61 |
| 2.797 | 32.00 | 100 |
| 2.678 | 33.46 | 50 |
| 2.319 | 38.83 | 33 |
| 1.785 | 51.17 | 41 |
| 1.640 | 56.09 | 45 |
| 1.568 | 58.90 | 12 |
| 1.415 | 66.05 | 13 |
| 1.398 | 66.91 | 25 |
| 1.208 | 79.34 | 22 |

Cell and atoms:
Cell: 6.559 6.559 6.559 Å, 60.00 60.00 60.00°
Atoms (fractional coordinates):
Hf (0.000, 0.000, 0.000)
Hf (0.000, 0.000, 0.500)
Hf (0.000, 0.500, 0.000)
Hf (0.500, 0.000, 0.000)
Ge (0.375, 0.375, 0.375)
Ge (0.625, 0.625, 0.625)
O (0.186, 0.771, 0.771)
O (0.229, 0.229, 0.229)
O (0.229, 0.229, 0.814)
O (0.229, 0.814, 0.229)
O (0.771, 0.186, 0.771)
O (0.771, 0.771, 0.186)
O (0.771, 0.771, 0.771)
O (0.814, 0.229, 0.229)

=====

# 9
# Hf2SiGePd2
Calculated powder diffractogram, Cu Kα, 1.54184 Å. Input: a crystal structure in OQMD, relaxed with PBE.

Largest 10 diffraction maxima, sorted by position, 2θ = 10–90°:
| d_spacing | 2θ (°) | I (rel.) |
| --- | --- | --- |
| 3.522 | 25.29 | 61 |
| 3.050 | 29.28 | 17 |
| 2.157 | 41.89 | 100 |
| 1.839 | 49.56 | 30 |
| 1.761 | 51.93 | 5 |
| 1.525 | 60.73 | 17 |
| 1.399 | 66.86 | 12 |
| 1.364 | 68.83 | 6 |
| 1.245 | 76.51 | 34 |
| 1.174 | 82.10 | 9 |

Cell and atoms:
Cell: 10.565 4.313 10.566 Å, 90.00 109.47 90.00°
Atoms (fractional coordinates):
Hf (0.000, 0.000, 0.000)
Hf (0.122, 0.500, 0.374)
Hf (0.246, 0.000, 0.748)
Hf (0.375, 0.500, 0.127)
Hf (0.498, 0.000, 0.501)
Hf (0.624, 0.500, 0.873)
Hf (0.748, 0.000, 0.250)
Hf (0.873, 0.500, 0.624)
Si (0.249, 0.000, 0.250)
Si (0.623, 0.500, 0.375)
Si (0.748, 0.000, 0.749)
Si (0.997, 0.000, 0.499)
Ge (0.123, 0.500, 0.875)
Ge (0.373, 0.500, 0.624)
Ge (0.499, 0.000, 0.000)
Ge (0.874, 0.500, 0.125)
Pd (0.127, 0.500, 0.128)
Pd (0.245, 0.000, 0.496)
Pd (0.373, 0.500, 0.875)
Pd (0.499, 0.000, 0.254)
Pd (0.626, 0.500, 0.624)
Pd (0.749, 0.000, 0.996)
Pd (0.872, 0.500, 0.377)
Pd (0.995, 0.000, 0.747)

=====

# 10
# Hf2ZrGe4Pd4
Calculated powder diffractogram, Cu Kα, 1.54184 Å. Input: a crystal structure in OQMD, relaxed with PBE.

Largest 10 diffraction maxima, sorted by position, 2θ = 10–90°:
| d_spacing | 2θ (°) | I (rel.) |
| --- | --- | --- |
| 2.585 | 34.70 | 100 |
| 2.505 | 35.85 | 29 |
| 2.422 | 37.12 | 75 |
| 2.271 | 39.70 | 39 |
| 2.239 | 40.29 | 32 |
| 2.054 | 44.08 | 28 |
| 2.025 | 44.74 | 39 |
| 1.881 | 48.40 | 18 |
| 1.442 | 64.62 | 18 |
| 1.288 | 73.53 | 15 |

Cell and atoms:
Cell: 7.825 7.825 7.825 Å, 150.00 127.38 61.77°
Atoms (fractional coordinates):
Hf (0.123, 0.123, 0.000)
Hf (0.877, 0.877, 0.000)
Zr (0.500, 0.000, 0.500)
Ge (0.191, 0.500, 0.691)
Ge (0.287, 0.787, 0.500)
Ge (0.713, 0.213, 0.500)
Ge (0.809, 0.500, 0.309)
Pd (0.120, 0.325, 0.795)
Pd (0.470, 0.675, 0.795)
Pd (0.530, 0.325, 0.205)
Pd (0.880, 0.675, 0.205)

=====

# 11
# HfSc2Ge3Pt3
Calculated powder diffractogram, Cu Kα, 1.54184 Å. Input: a crystal structure in OQMD, relaxed with PBE.

Largest 10 diffraction maxima, sorted by position, 2θ = 10–90°:
| d_spacing | 2θ (°) | I (rel.) |
| --- | --- | --- |
| 5.794 | 15.29 | 33 |
| 3.996 | 22.25 | 24 |
| 3.349 | 26.62 | 23 |
| 2.568 | 34.95 | 100 |
| 2.348 | 38.34 | 72 |
| 2.195 | 41.12 | 46 |
| 1.998 | 45.39 | 29 |
| 1.923 | 47.26 | 28 |
| 1.478 | 62.90 | 26 |
| 1.262 | 75.32 | 17 |

Cell and atoms:
Cell: 3.996 6.694 6.694 Å, 119.81 90.00 90.00°
Atoms (fractional coordinates):
Hf (0.000, 0.000, 0.000)
Sc (0.000, 0.154, 0.577)
Sc (0.000, 0.577, 0.154)
Ge (0.000, 0.577, 0.577)
Ge (0.500, 0.244, 0.909)
Ge (0.500, 0.909, 0.244)
Pt (0.500, 0.322, 0.322)
Pt (0.500, 0.579, 0.832)
Pt (0.500, 0.832, 0.579)

=====

# 12
# HfScGe4
Calculated powder diffractogram, Cu Kα, 1.54184 Å. Input: a crystal structure in OQMD, relaxed with PBE.

Largest 10 diffraction maxima, sorted by position, 2θ = 10–90°:
| d_spacing | 2θ (°) | I (rel.) |
| --- | --- | --- |
| 7.527 | 11.76 | 27 |
| 3.050 | 29.28 | 15 |
| 2.509 | 35.79 | 20 |
| 2.376 | 37.87 | 100 |
| 2.092 | 43.25 | 12 |
| 1.920 | 47.34 | 15 |
| 1.895 | 48.02 | 14 |
| 1.349 | 69.72 | 9 |
| 1.179 | 81.69 | 11 |
| 1.167 | 82.69 | 10 |

Cell and atoms:
Cell: 3.789 7.768 7.768 Å, 28.62 90.00 90.00°
Atoms (fractional coordinates):
Hf (0.000, 0.000, 0.000)
Sc (0.500, 0.791, 0.791)
Ge (0.000, 0.337, 0.337)
Ge (0.000, 0.643, 0.643)
Ge (0.500, 0.145, 0.145)
Ge (0.500, 0.454, 0.454)

=====

# 13
# Hf6Sn2Ge
Calculated powder diffractogram, Cu Kα, 1.54184 Å. Input: a crystal structure in OQMD, relaxed with PBE.

Largest 10 diffraction maxima, sorted by position, 2θ = 10–90°:
| d_spacing | 2θ (°) | I (rel.) |
| --- | --- | --- |
| 2.697 | 33.22 | 93 |
| 2.497 | 35.97 | 100 |
| 2.202 | 40.99 | 29 |
| 2.089 | 43.32 | 22 |
| 1.907 | 47.69 | 21 |
| 1.651 | 55.66 | 14 |
| 1.515 | 61.15 | 32 |
| 1.442 | 64.66 | 19 |
| 1.408 | 66.38 | 23 |
| 1.186 | 81.05 | 16 |

Cell and atoms:
Cell: 7.627 7.627 3.814 Å, 90.00 90.00 120.00°
Atoms (fractional coordinates):
Hf (0.000, 0.393, 0.000)
Hf (0.000, 0.752, 0.500)
Hf (0.248, 0.248, 0.500)
Hf (0.393, 0.000, 0.000)
Hf (0.607, 0.607, 0.000)
Hf (0.752, 0.000, 0.500)
Sn (0.333, 0.667, 0.500)
Sn (0.667, 0.333, 0.500)
Ge (0.000, 0.000, 0.000)